Structure and simulated powder X-ray diffraction pattern of GaBiI (a crystal structure in Alexandria, relaxed with GGA-PBE; Cu Ka).
Kinematic intensities with the Lorentz-polarization factor, no thermal factor.

Crystal structure
abc: 4.5293 7.9845 13.3944
angles: 90.00 90.00 90.00
Space group Amm2 (No. 38)
Inequivalent atoms, fractional coordinates:
1 Ga 0.0000 0.2172 0.0000 [4 per cell]
2 Bi 0.5000 0.1929 0.8815 [4 per cell]
3 I 0.0000 0.0000 0.1614 [2 per cell]
4 I 0.0000 0.0000 0.6211 [2 per cell]

Principal peaks in the range 2θ = 15–90°, most intense first:
d_spacing	2theta	Rel. int.	index
3.752	23.71	100	1 0 2
3.429	25.98	65	0 2 2
2.232	40.41	54	1 2 4
1.889	48.16	31	2 2 2
2.264	39.82	30	2 0 0
2.995	29.83	24	1 2 0
2.041	44.39	24	1 3 3
3.349	26.62	21	0 0 4
2.610	34.35	20	0 3 1
2.002	45.29	18	1 0 6